Calculated powder X-ray diffraction pattern of ScTeAu2 for Cu Kα X-rays, from a DFT-relaxed cell (PBE, Alexandria).

Top 10 peaks for 2θ = 5–70°, by angle:
2θ (°)	intensity
18.64	18.7
30.22	12.4
35.75	100.0
37.81	21.5
43.27	29.4
47.49	7.7
49.14	7.0
58.79	23.7
62.85	9.7
66.94	16.1

Atomic structure:
Cell lengths 5.6031, 5.6031, 5.6031 Å; angles 136.17, 136.17, 63.71 degrees
Fractional coordinates of all 4 atoms:
Sc (0.0000, 0.0000, 0.0000)
Te (0.5000, 0.5000, 0.0000)
Au (0.2500, 0.7500, 0.5000)
Au (0.7500, 0.2500, 0.5000)